Entry 1:
For CsHg3IrO4, a cell relaxed with GGA-PBE gives the computed powder diffraction line list in this record (copper Kα).
No peak broadening, texture or thermal motion is included.

Largest 10 diffraction maxima, sorted by position, 2θ from 10° to 90°:
2θ (°)  I (rel.)
13.2  553
22.9  673
26.5  1000
29.7  224
37.9  865
44.7  395
46.8  309
61.7  426
68.4  303
87.0  212

Atomic structure:
Cell: 6.719 6.719 6.719 Å, 90.00 90.00 90.00°
Positions (direct):
Cs: 0.000 0.000 0.000
Hg: 0.000 0.500 0.500
Hg: 0.500 0.000 0.500
Hg: 0.500 0.500 0.000
Ir: 0.500 0.500 0.500
O: 0.343 0.343 0.343
O: 0.343 0.657 0.657
O: 0.657 0.343 0.657
O: 0.657 0.657 0.343

---

Entry 2:
For Cs2K2HgSb2, a cell relaxed with GGA-PBE gives the computed powder diffraction line list in this record (copper Kα).
No peak broadening, texture or thermal motion is included.

Largest 10 diffraction maxima, sorted by position, 2θ from 10° to 90°:
2θ (°)  I (rel.)
16.2  302
17.0  338
21.9  226
27.7  1000
28.9  185
29.2  179
34.2  372
44.6  175
49.1  203
53.3  205

Atomic structure:
Cell: 10.591 10.591 10.591 Å, 35.35 35.35 35.35°
Positions (direct):
Cs: 0.115 0.115 0.115
Cs: 0.885 0.885 0.885
K: 0.292 0.292 0.292
K: 0.708 0.708 0.708
Hg: 0.500 0.500 0.500
Sb: 0.409 0.409 0.409
Sb: 0.591 0.591 0.591

---

Entry 3:
For CsHg3Te4Mo, a cell relaxed with GGA-PBE gives the computed powder diffraction line list in this record (copper Kα).
No peak broadening, texture or thermal motion is included.

Largest 10 diffraction maxima, sorted by position, 2θ from 10° to 90°:
2θ (°)  I (rel.)
11.7  531
20.3  989
23.4  189
28.8  184
33.4  1000
39.3  524
42.9  196
54.0  235
59.6  247
73.8  200

Atomic structure:
Cell: 7.595 7.595 7.595 Å, 90.00 90.00 90.00°
Positions (direct):
Cs: 0.000 0.000 0.000
Hg: 0.000 0.500 0.500
Hg: 0.500 0.000 0.500
Hg: 0.500 0.500 0.000
Te: 0.305 0.305 0.305
Te: 0.305 0.695 0.695
Te: 0.695 0.305 0.695
Te: 0.695 0.695 0.305
Mo: 0.500 0.500 0.500

---

Entry 4:
For CsNdHg3S4, a cell relaxed with GGA-PBE gives the computed powder diffraction line list in this record (copper Kα).
No peak broadening, texture or thermal motion is included.

Largest 10 diffraction maxima, sorted by position, 2θ from 10° to 90°:
2θ (°)  I (rel.)
12.8  362
22.2  866
25.7  707
36.7  1000
43.3  463
45.3  226
52.8  169
58.0  190
59.7  317
66.0  339

Atomic structure:
Cell: 6.930 6.930 6.930 Å, 90.00 90.00 90.00°
Positions (direct):
Cs: 0.000 0.000 0.000
Nd: 0.500 0.500 0.500
Hg: 0.000 0.500 0.500
Hg: 0.500 0.000 0.500
Hg: 0.500 0.500 0.000
S: 0.279 0.279 0.279
S: 0.279 0.721 0.721
S: 0.721 0.279 0.721
S: 0.721 0.721 0.279